Diffraction record for Ac2Al4Ge3Au. The X-ray powder pattern is calculated, not measured: it uses a DFT-relaxed cell (PBE, Alexandria) and CuKα.
Peak positions follow from Bragg's law for the DFT cell and can differ from measured ones.

Structure:
```
Ac2Al4Ge3Au
1.0
4.740 0.000 0.000
0.000 4.740 0.000
0.000 0.000 9.961
Ac Al Ge Au
2 4 3 1
Cartesian
0.000 2.370 2.424
2.370 0.000 7.537
0.000 0.000 4.980
0.000 2.370 8.779
2.370 0.000 1.182
2.370 2.370 4.980
0.000 0.000 0.000
0.000 2.370 6.182
2.370 0.000 3.778
2.370 2.370 0.000
```

Most intense lines, 2θ from 10° to 90°, sorted by position:
20.8°, rel. 52; 28.1°, rel. 18; 32.2°, rel. 100; 32.9°, rel. 61; 38.0°, rel. 54; 51.1°, rel. 36; 54.8°, rel. 19; 65.0°, rel. 27

---

Diffraction record for AcAl2HgAu4. The X-ray powder pattern is calculated, not measured: it uses a DFT-relaxed cell (PBE, Alexandria) and CuKα.
Peak positions follow from Bragg's law for the DFT cell and can differ from measured ones.

Structure:
```
AcAl2HgAu4
1.0
2.218 1.281 10.297
-2.218 1.281 10.297
0.000 -2.561 10.297
Ac Al Hg Au
1 2 1 4
Cartesian
0.000 0.000 0.000
0.000 0.000 7.486
0.000 0.000 23.406
0.000 0.000 15.446
0.000 0.000 3.644
0.000 0.000 12.290
0.000 0.000 18.602
0.000 0.000 27.248
```

Most intense lines, 2θ from 10° to 90°, sorted by position:
23.9°, rel. 57; 32.9°, rel. 100; 37.4°, rel. 62; 40.7°, rel. 90; 53.3°, rel. 26; 56.4°, rel. 19; 69.1°, rel. 24; 71.8°, rel. 19

---

Diffraction record for Ac2AlHg2Au4. The X-ray powder pattern is calculated, not measured: it uses a DFT-relaxed cell (PBE, Alexandria) and CuKα.
Peak positions follow from Bragg's law for the DFT cell and can differ from measured ones.

Structure:
```
Ac2AlHg2Au4
1.0
-3.490 3.490 4.582
3.490 -3.490 4.582
3.490 3.490 -4.582
Ac Al Hg Au
2 1 2 4
Cartesian
3.490 0.000 2.291
0.000 3.490 2.291
0.000 0.000 0.000
0.000 0.000 2.796
0.000 0.000 6.368
1.808 1.808 0.000
1.683 -1.683 4.582
-1.683 1.683 4.582
1.683 1.683 4.582
```

Most intense lines, 2θ from 10° to 90°, sorted by position:
32.2°, rel. 100; 36.4°, rel. 44; 39.3°, rel. 12; 41.4°, rel. 8; 52.4°, rel. 15; 54.7°, rel. 18; 62.9°, rel. 30; 67.5°, rel. 9

---

Diffraction record for AcHoAl2Au2. The X-ray powder pattern is calculated, not measured: it uses a DFT-relaxed cell (PBE, Alexandria) and CuKα.
Peak positions follow from Bragg's law for the DFT cell and can differ from measured ones.

Structure:
```
AcHoAl2Au2
1.0
4.610 0.000 0.000
-2.305 3.993 0.000
0.000 0.000 7.754
Ac Ho Al Au
1 1 2 2
Cartesian
0.000 0.000 0.000
0.000 0.000 3.877
0.000 2.662 5.446
2.305 1.331 2.308
0.000 2.662 2.290
2.305 1.331 5.464
```

Most intense lines, 2θ from 10° to 90°, sorted by position:
25.1°, rel. 50; 32.2°, rel. 100; 39.1°, rel. 59; 51.5°, rel. 27; 52.5°, rel. 11; 53.2°, rel. 11; 62.6°, rel. 14; 66.5°, rel. 26

---

Diffraction record for AcMg2AlAu4. The X-ray powder pattern is calculated, not measured: it uses a DFT-relaxed cell (PBE, Alexandria) and CuKα.
Peak positions follow from Bragg's law for the DFT cell and can differ from measured ones.

Structure:
```
AcMg2AlAu4
1.0
2.283 1.318 9.473
-2.283 1.318 9.473
0.000 -2.637 9.473
Ac Mg Al Au
1 2 1 4
Cartesian
0.000 0.000 0.000
0.000 0.000 6.687
0.000 0.000 21.732
0.000 0.000 14.210
0.000 0.000 3.852
0.000 0.000 11.429
0.000 0.000 16.990
0.000 0.000 24.568
```

Most intense lines, 2θ from 10° to 90°, sorted by position:
23.3°, rel. 24; 25.8°, rel. 39; 27.5°, rel. 41; 31.6°, rel. 73; 33.9°, rel. 63; 39.5°, rel. 100; 41.8°, rel. 26; 63.8°, rel. 36

---

Diffraction record for NaAcAlAu. The X-ray powder pattern is calculated, not measured: it uses a DFT-relaxed cell (PBE, Alexandria) and CuKα.
Peak positions follow from Bragg's law for the DFT cell and can differ from measured ones.

Structure:
```
NaAcAlAu
1.0
0.000 3.667 3.667
3.667 0.000 3.667
3.667 3.667 0.000
Na Ac Al Au
1 1 1 1
Cartesian
0.000 0.000 0.000
5.501 5.501 5.501
1.834 1.834 1.834
3.667 3.667 3.667
```

Most intense lines, 2θ from 10° to 90°, sorted by position:
21.0°, rel. 69; 34.6°, rel. 100; 40.8°, rel. 39; 49.7°, rel. 18; 54.5°, rel. 17; 62.0°, rel. 38; 76.9°, rel. 13; 83.3°, rel. 17

---

Diffraction record for AcAlPd6Au. The X-ray powder pattern is calculated, not measured: it uses a DFT-relaxed cell (PBE, Alexandria) and CuKα.
Peak positions follow from Bragg's law for the DFT cell and can differ from measured ones.

Structure:
```
AcAlPd6Au
1.0
-2.849 4.778 6.670
2.849 -4.778 6.670
2.849 4.778 -6.670
Ac Al Pd Au
2 2 12 2
Cartesian
0.000 2.389 2.086
2.849 2.389 4.583
2.849 0.000 0.000
0.000 0.000 6.670
1.420 -0.092 1.921
4.277 -0.092 1.921
2.849 -2.389 5.763
2.849 2.389 1.039
1.420 4.686 -1.921
1.428 -0.092 4.749
1.420 4.870 1.921
1.428 0.092 8.591
0.000 2.389 5.630
0.000 7.167 0.907
-1.428 4.870 4.749
1.428 4.870 4.749
1.424 2.389 -3.335
1.424 -2.389 3.335
```

Most intense lines, 2θ from 10° to 90°, sorted by position:
13.3°, rel. 36; 22.0°, rel. 26; 32.5°, rel. 48; 33.5°, rel. 56; 34.9°, rel. 26; 36.7°, rel. 54; 37.7°, rel. 72; 46.0°, rel. 100

---

Diffraction record for AcAl2Pd5Au. The X-ray powder pattern is calculated, not measured: it uses a DFT-relaxed cell (PBE, Alexandria) and CuKα.
Peak positions follow from Bragg's law for the DFT cell and can differ from measured ones.

Structure:
```
AcAl2Pd5Au
1.0
4.831 0.000 0.000
0.000 4.831 0.000
0.000 0.000 7.377
Ac Al Pd Au
1 2 5 1
Cartesian
0.000 0.000 0.000
2.415 2.415 2.422
2.415 2.415 4.955
0.000 2.415 2.154
0.000 2.415 5.223
2.415 0.000 2.154
2.415 0.000 5.223
2.415 2.415 0.000
0.000 0.000 3.689
```

Most intense lines, 2θ from 10° to 90°, sorted by position:
18.4°, rel. 21; 30.5°, rel. 23; 35.8°, rel. 100; 37.2°, rel. 61; 48.9°, rel. 13; 53.2°, rel. 15; 53.7°, rel. 21; 66.2°, rel. 33

---

Diffraction record for AcAlSi2Au6. The X-ray powder pattern is calculated, not measured: it uses a DFT-relaxed cell (PBE, Alexandria) and CuKα.
Peak positions follow from Bragg's law for the DFT cell and can differ from measured ones.

Structure:
```
AcAlSi2Au6
1.0
3.370 1.946 6.881
-3.370 1.946 6.881
0.000 -3.891 6.881
Ac Al Si Au
1 1 2 6
Cartesian
0.000 0.000 0.000
0.000 0.000 10.321
0.000 0.000 5.858
0.000 0.000 14.785
-1.537 -0.530 8.296
-0.310 -1.596 12.347
1.227 -1.066 8.296
-1.227 1.066 12.347
0.310 1.596 8.296
1.537 0.530 12.347
```

Most intense lines, 2θ from 10° to 90°, sorted by position:
12.9°, rel. 76; 15.8°, rel. 38; 26.4°, rel. 50; 29.5°, rel. 38; 30.9°, rel. 100; 31.9°, rel. 53; 37.4°, rel. 34; 44.7°, rel. 59

---

Diffraction record for AcAl2ZnAu5. The X-ray powder pattern is calculated, not measured: it uses a DFT-relaxed cell (PBE, Alexandria) and CuKα.
Peak positions follow from Bragg's law for the DFT cell and can differ from measured ones.

Structure:
```
AcAl2ZnAu5
1.0
5.062 0.000 0.000
0.000 5.062 0.000
0.000 0.000 7.571
Ac Al Zn Au
1 2 1 5
Cartesian
0.000 0.000 0.000
2.531 2.531 2.512
2.531 2.531 5.058
0.000 0.000 3.785
0.000 2.531 2.211
0.000 2.531 5.360
2.531 0.000 2.211
2.531 0.000 5.360
2.531 2.531 0.000
```

Most intense lines, 2θ from 10° to 90°, sorted by position:
27.6°, rel. 37; 34.5°, rel. 100; 35.5°, rel. 63; 35.6°, rel. 16; 51.1°, rel. 46; 63.1°, rel. 36; 85.9°, rel. 16; 89.0°, rel. 14

---

Diffraction record for AcAlBO5. The X-ray powder pattern is calculated, not measured: it uses a DFT-relaxed cell (PBE, Alexandria) and CuKα.
Peak positions follow from Bragg's law for the DFT cell and can differ from measured ones.

Structure:
```
AcAlBO5
1.0
3.240 -4.402 0.000
3.240 4.402 0.000
-2.144 0.000 6.357
Ac Al B O
2 2 2 10
Cartesian
1.632 3.004 4.768
2.704 -3.004 1.589
3.240 0.000 0.000
2.168 0.000 3.179
2.704 2.634 1.589
1.632 -2.634 4.768
-0.833 0.842 5.706
1.825 1.795 2.452
0.239 -0.842 2.527
3.583 1.795 0.727
1.632 0.551 4.768
2.704 -0.551 1.589
0.753 -1.795 5.630
4.097 0.842 3.830
2.511 -1.795 3.906
5.169 -0.842 0.652
```

Most intense lines, 2θ from 10° to 90°, sorted by position:
17.6°, rel. 34; 19.4°, rel. 100; 24.6°, rel. 72; 25.3°, rel. 55; 28.1°, rel. 36; 29.1°, rel. 97; 33.9°, rel. 61; 41.9°, rel. 32

---

Diffraction record for AcAlBOs2. The X-ray powder pattern is calculated, not measured: it uses a DFT-relaxed cell (PBE, Alexandria) and CuKα.
Peak positions follow from Bragg's law for the DFT cell and can differ from measured ones.

Structure:
```
AcAlBOs2
1.0
2.165 -5.543 0.000
2.165 5.543 0.000
0.000 0.000 7.520
Ac Al B Os
2 2 2 4
Cartesian
2.165 4.995 5.640
2.165 -4.995 1.880
2.165 2.983 1.880
2.165 -2.983 5.640
2.165 0.000 0.000
2.165 0.000 3.760
2.165 1.970 4.227
2.165 1.970 7.053
2.165 -1.970 0.467
2.165 -1.970 3.293
```

Most intense lines, 2θ from 10° to 90°, sorted by position:
25.1°, rel. 45; 28.7°, rel. 54; 31.8°, rel. 100; 32.6°, rel. 94; 34.5°, rel. 46; 39.5°, rel. 38; 41.7°, rel. 42; 42.5°, rel. 29

---

Repeat the eighth record exactly.
Diffraction record for AcAl2Pd5Au. The X-ray powder pattern is calculated, not measured: it uses a DFT-relaxed cell (PBE, Alexandria) and CuKα.
Peak positions follow from Bragg's law for the DFT cell and can differ from measured ones.

Structure:
```
AcAl2Pd5Au
1.0
4.831 0.000 0.000
0.000 4.831 0.000
0.000 0.000 7.377
Ac Al Pd Au
1 2 5 1
Cartesian
0.000 0.000 0.000
2.415 2.415 2.422
2.415 2.415 4.955
0.000 2.415 2.154
0.000 2.415 5.223
2.415 0.000 2.154
2.415 0.000 5.223
2.415 2.415 0.000
0.000 0.000 3.689
```

Most intense lines, 2θ from 10° to 90°, sorted by position:
18.4°, rel. 21; 30.5°, rel. 23; 35.8°, rel. 100; 37.2°, rel. 61; 48.9°, rel. 13; 53.2°, rel. 15; 53.7°, rel. 21; 66.2°, rel. 33